(1)
BeCd3: theoretical XRD peak list (a wavelength of 1.5418 Å), based on the PBE geometry in Alexandria.
Peak positions follow from Bragg's law for the DFT cell and can differ from measured ones.

Principal peaks in the range 2θ = 10–90°, by angle:
2θ (°)  d_spacing  Rel. int.
29.41  3.037  1000
32.33  2.769  298
40.51  2.227  585
41.46  2.178  223
42.70  2.118  156
48.06  1.893  221
65.31  1.429  168
71.43  1.321  162

Crystal structure
```
BeCd3
1.0
-1.4187 2.1782 6.3527
1.4187 -2.1782 6.3527
1.4187 2.1782 -6.3527
Be Cd
1 3
Direct
0.0000 0.0000 0.0000 Be
0.1833 0.6833 0.5000 Cd
0.5000 0.5000 0.0000 Cd
0.8167 0.3167 0.5000 Cd
```

(2)
NaTiTlBr6: theoretical XRD peak list (a wavelength of 1.5418 Å), based on the PBE geometry in Alexandria.
Peak positions follow from Bragg's law for the DFT cell and can differ from measured ones.

Principal peaks in the range 2θ = 10–90°, by angle:
2θ (°)  d_spacing  Rel. int.
13.99  6.330  264
19.12  4.642  908
27.68  3.222  1000
28.20  3.165  242
29.73  3.005  253
36.00  2.495  712
39.93  2.258  458
42.86  2.110  332

Crystal structure
```
NaTiTlBr6
1.0
3.6515 -6.3354 0.0000
3.6515 6.3354 0.0000
-0.0066 0.0000 6.8292
Na Ti Tl Br
1 1 1 6
Direct
0.0000 0.0000 0.0000 Na
0.6670 0.3330 0.0000 Ti
0.3336 0.6664 0.5000 Tl
0.3769 0.0585 0.7837 Br
0.3779 0.3176 0.2168 Br
0.6824 0.6221 0.7832 Br
0.6825 0.0594 0.2166 Br
0.9406 0.3175 0.7834 Br
0.9415 0.6231 0.2163 Br
```

(3)
CaPrH2: theoretical XRD peak list (a wavelength of 1.5418 Å), based on the PBE geometry in Alexandria.
Peak positions follow from Bragg's law for the DFT cell and can differ from measured ones.

Principal peaks in the range 2θ = 10–90°, by angle:
2θ (°)  d_spacing  Rel. int.
14.90  5.946  513
28.91  3.088  332
30.06  2.973  338
30.22  2.958  1000
34.98  2.565  719
50.21  1.817  249
50.41  1.810  246
59.85  1.545  420

Crystal structure
```
CaPrH2
1.0
1.8101 1.0451 5.9457
-1.8101 1.0451 5.9457
0.0000 -2.0902 5.9457
Ca Pr H
1 1 2
Direct
0.0000 0.0000 0.0000 Ca
0.5000 0.5000 0.5000 Pr
0.2522 0.2522 0.2522 H
0.7478 0.7478 0.7478 H
```

(4)
RbVCu2S4: theoretical XRD peak list (a wavelength of 1.5418 Å), based on the PBE geometry in Alexandria.
Peak positions follow from Bragg's law for the DFT cell and can differ from measured ones.

Principal peaks in the range 2θ = 10–90°, by angle:
2θ (°)  d_spacing  Rel. int.
15.16  5.845  638
22.46  3.958  541
29.06  3.072  951
29.32  3.046  1000
32.38  2.765  387
36.50  2.462  498
45.61  1.989  715
50.87  1.795  716

Crystal structure
```
RbVCu2S4
1.0
7.5067 0.0000 0.0000
0.0000 9.3166 2.7145
0.0000 -9.3166 2.7145
Rb V Cu S
2 2 4 8
Direct
0.2500 0.1830 0.8170 Rb
0.7500 0.8170 0.1830 Rb
0.2500 0.1394 0.3505 V
0.7500 0.3505 0.1394 V
0.0000 0.2598 0.2598 Cu
0.2500 0.6410 0.8481 Cu
0.5000 0.2598 0.2598 Cu
0.7500 0.8481 0.6410 Cu
0.0109 0.3736 0.5842 S
0.2500 0.0051 0.0188 S
0.2500 0.8095 0.2087 S
0.4891 0.3736 0.5842 S
0.5109 0.5842 0.3736 S
0.7500 0.0188 0.0051 S
0.7500 0.2087 0.8095 S
0.9891 0.5842 0.3736 S
```

(5)
Pm4PuS7: theoretical XRD peak list (a wavelength of 1.5418 Å), based on the PBE geometry in Alexandria.
Peak positions follow from Bragg's law for the DFT cell and can differ from measured ones.

Principal peaks in the range 2θ = 10–90°, by angle:
2θ (°)  d_spacing  Rel. int.
23.42  3.798  1000
23.89  3.725  928
25.50  3.494  486
27.03  3.299  471
30.58  2.924  503
32.18  2.782  755
33.31  2.690  407
46.15  1.967  597

Crystal structure
```
Pm4PuS7
1.0
6.5985 -1.9672 0.0000
6.5985 1.9672 0.0000
-3.0611 0.0000 11.4449
Pm Pu S
4 1 7
Direct
0.0000 0.0000 0.0000 Pm
0.1889 0.1889 0.7683 Pm
0.5832 0.5832 0.3830 Pm
0.8858 0.8858 0.5745 Pm
0.7709 0.7709 0.1526 Pu
0.1504 0.1504 0.2253 S
0.2262 0.2262 0.5254 S
0.3823 0.3823 0.0752 S
0.5457 0.5457 0.6262 S
0.6240 0.6240 0.9262 S
0.8443 0.8443 0.7911 S
0.9276 0.9276 0.3584 S
```

(6)
Rb3AuI6: theoretical XRD peak list (a wavelength of 1.5418 Å), based on the PBE geometry in Alexandria.
Peak positions follow from Bragg's law for the DFT cell and can differ from measured ones.

Principal peaks in the range 2θ = 10–90°, by angle:
2θ (°)  d_spacing  Rel. int.
12.78  6.925  300
13.66  6.481  171
28.29  3.155  1000
29.24  3.054  280
35.30  2.542  125
39.02  2.308  234
41.82  2.160  357
51.25  1.782  144

Crystal structure
```
Rb3AuI6
1.0
6.4808 3.7417 5.8663
-6.4808 3.7417 5.8663
0.0000 -7.4834 5.8663
Rb Au I
6 2 12
Direct
0.1363 0.5356 0.1386 Rb
0.1386 0.1363 0.5356 Rb
0.4644 0.8614 0.8637 Rb
0.5357 0.1386 0.1363 Rb
0.8614 0.8637 0.4643 Rb
0.8637 0.4643 0.8614 Rb
0.0000 0.0000 0.0000 Au
0.5000 0.5000 0.5000 Au
0.1017 0.7944 0.7951 I
0.1901 0.5104 0.5115 I
0.2049 0.8983 0.2056 I
0.2056 0.2049 0.8983 I
0.4885 0.8099 0.4896 I
0.4896 0.4885 0.8099 I
0.5104 0.5115 0.1901 I
0.5115 0.1901 0.5104 I
0.7944 0.7951 0.1017 I
0.7951 0.1017 0.7944 I
0.8099 0.4896 0.4885 I
0.8983 0.2056 0.2049 I
```

(7)
Li2Th2Zn15: theoretical XRD peak list (a wavelength of 1.5418 Å), based on the PBE geometry in Alexandria.
Peak positions follow from Bragg's law for the DFT cell and can differ from measured ones.

Principal peaks in the range 2θ = 10–90°, by angle:
2θ (°)  d_spacing  Rel. int.
13.10  6.758  233
28.23  3.162  523
34.21  2.621  266
39.71  2.270  451
40.03  2.253  1000
40.97  2.203  327
57.65  1.599  219
58.38  1.581  229

Crystal structure
```
Li2Th2Zn15
1.0
4.5400 2.6212 4.4055
-4.5400 2.6212 4.4055
0.0000 -5.2423 4.4055
Li Th Zn
2 2 15
Direct
0.0981 0.0981 0.0981 Li
0.9019 0.9019 0.9019 Li
0.3419 0.3419 0.3419 Th
0.6581 0.6581 0.6581 Th
0.0000 0.0000 0.5000 Zn
0.0000 0.2899 0.7101 Zn
0.0000 0.5000 0.0000 Zn
0.0000 0.7101 0.2899 Zn
0.1563 0.6508 0.6508 Zn
0.2899 0.0000 0.7101 Zn
0.2899 0.7101 0.0000 Zn
0.3492 0.3492 0.8437 Zn
0.3492 0.8437 0.3492 Zn
0.5000 0.0000 0.0000 Zn
0.6508 0.1563 0.6508 Zn
0.6508 0.6508 0.1563 Zn
0.7101 0.0000 0.2899 Zn
0.7101 0.2899 0.0000 Zn
0.8437 0.3492 0.3492 Zn
```

(8)
Dy5AlIn3: theoretical XRD peak list (a wavelength of 1.5418 Å), based on the PBE geometry in Alexandria.
Peak positions follow from Bragg's law for the DFT cell and can differ from measured ones.

Principal peaks in the range 2θ = 10–90°, by angle:
2θ (°)  d_spacing  Rel. int.
32.58  2.748  515
33.46  2.678  1000
33.59  2.668  875
48.14  1.890  288
51.50  1.775  141
59.99  1.542  246
66.58  1.405  138
66.87  1.399  235

Crystal structure
```
Dy5AlIn3
1.0
9.2436 0.0000 0.0000
-4.6218 8.0052 0.0000
0.0000 0.0000 6.5727
Dy Al In
10 2 6
Direct
0.0000 0.2792 0.2500 Dy
0.0000 0.7208 0.7500 Dy
0.2792 0.0000 0.2500 Dy
0.2792 0.2792 0.7500 Dy
0.3333 0.6667 0.0000 Dy
0.3333 0.6667 0.5000 Dy
0.6667 0.3333 0.0000 Dy
0.6667 0.3333 0.5000 Dy
0.7208 0.0000 0.7500 Dy
0.7208 0.7208 0.2500 Dy
0.0000 0.0000 0.0000 Al
0.0000 0.0000 0.5000 Al
0.0000 0.3747 0.7500 In
0.0000 0.6253 0.2500 In
0.3747 0.0000 0.7500 In
0.3747 0.3747 0.2500 In
0.6253 0.0000 0.2500 In
0.6253 0.6253 0.7500 In
```

(9)
Ac4La15Ho: theoretical XRD peak list (a wavelength of 1.5418 Å), based on the PBE geometry in Alexandria.
Peak positions follow from Bragg's law for the DFT cell and can differ from measured ones.

Principal peaks in the range 2θ = 10–90°, by angle:
2θ (°)  d_spacing  Rel. int.
29.00  3.079  1000
33.61  2.667  509
48.26  1.886  367
57.29  1.608  439
60.10  1.540  126
78.08  1.224  60
78.13  1.223  115
80.56  1.192  106

Crystal structure
```
Ac4La15Ho
1.0
5.3356 0.0000 0.0000
0.0000 5.3356 0.0000
0.0000 0.0000 26.6448
Ac La Ho
4 15 1
Direct
0.0000 0.0000 0.1008 Ac
0.0000 0.0000 0.3024 Ac
0.0000 0.0000 0.6976 Ac
0.0000 0.0000 0.8992 Ac
0.0000 0.5000 0.0000 La
0.0000 0.5000 0.2013 La
0.0000 0.5000 0.4042 La
0.0000 0.5000 0.5958 La
0.0000 0.5000 0.7987 La
0.5000 0.0000 0.0000 La
0.5000 0.0000 0.2013 La
0.5000 0.0000 0.4042 La
0.5000 0.0000 0.5958 La
0.5000 0.0000 0.7987 La
0.5000 0.5000 0.1011 La
0.5000 0.5000 0.3042 La
0.5000 0.5000 0.5000 La
0.5000 0.5000 0.6958 La
0.5000 0.5000 0.8989 La
0.0000 0.0000 0.5000 Ho
```

(10)
Tb5Ru2I2: theoretical XRD peak list (a wavelength of 1.5418 Å), based on the PBE geometry in Alexandria.
Peak positions follow from Bragg's law for the DFT cell and can differ from measured ones.

Principal peaks in the range 2θ = 10–90°, by angle:
2θ (°)  d_spacing  Rel. int.
10.49  8.435  606
31.03  2.882  511
31.15  2.871  507
33.23  2.696  599
36.63  2.453  1000
36.97  2.432  561
56.81  1.621  286
62.07  1.495  424

Crystal structure
```
Tb5Ru2I2
1.0
8.4345 -3.9187 0.0000
8.4345 3.9187 0.0000
0.0000 0.0000 7.8448
Tb Ru I
10 4 4
Direct
0.0000 0.0000 0.0000 Tb
0.0505 0.7422 0.6538 Tb
0.2422 0.5505 0.1538 Tb
0.2578 0.9495 0.6538 Tb
0.4495 0.7578 0.1538 Tb
0.5000 0.5000 0.5000 Tb
0.5505 0.2422 0.8462 Tb
0.7422 0.0505 0.3462 Tb
0.7578 0.4495 0.8462 Tb
0.9495 0.2578 0.3462 Tb
0.1440 0.8560 0.3570 Ru
0.3560 0.6440 0.8570 Ru
0.6440 0.3560 0.1430 Ru
0.8560 0.1440 0.6430 Ru
0.2197 0.2197 0.0000 I
0.2803 0.2803 0.5000 I
0.7197 0.7197 0.5000 I
0.7803 0.7803 0.0000 I
```

(11)
LaHfSi2O8: theoretical XRD peak list (a wavelength of 1.5418 Å), based on the PBE geometry in Alexandria.
Peak positions follow from Bragg's law for the DFT cell and can differ from measured ones.

Principal peaks in the range 2θ = 10–90°, by angle:
2θ (°)  d_spacing  Rel. int.
19.17  4.629  745
25.64  3.474  1000
32.22  2.779  283
34.17  2.624  682
36.58  2.457  204
41.62  2.170  231
49.53  1.840  213
50.92  1.793  575

Crystal structure
```
LaHfSi2O8
1.0
-3.4741 3.4741 3.1034
3.4741 -3.4741 3.1034
3.4741 3.4741 -3.1034
La Hf Si O
1 1 2 8
Direct
0.0000 0.0000 0.0000 La
0.2500 0.7500 0.5000 Hf
0.5000 0.5000 0.0000 Si
0.7500 0.2500 0.5000 Si
0.3408 0.1487 0.8079 O
0.3408 0.5330 0.1921 O
0.3971 0.0652 0.3319 O
0.4670 0.6592 0.8079 O
0.7334 0.0652 0.6681 O
0.8513 0.6592 0.1921 O
0.9348 0.2666 0.3319 O
0.9348 0.6029 0.6681 O
```

(12)
CeAlGa2Pt: theoretical XRD peak list (a wavelength of 1.5418 Å), based on the PBE geometry in Alexandria.
Peak positions follow from Bragg's law for the DFT cell and can differ from measured ones.

Principal peaks in the range 2θ = 10–90°, by angle:
2θ (°)  d_spacing  Rel. int.
22.61  3.932  502
29.61  3.017  914
32.49  2.756  865
32.77  2.733  707
34.08  2.631  1000
41.91  2.156  495
42.81  2.112  466
54.76  1.676  398

Crystal structure
```
CeAlGa2Pt
1.0
-2.1123 2.1555 5.3748
2.1123 -2.1555 5.3748
2.1123 2.1555 -5.3748
Ce Al Ga Pt
1 1 2 1
Direct
0.0000 0.0000 0.0000 Ce
0.2380 0.7380 0.5000 Al
0.5864 0.5864 0.0000 Ga
0.7361 0.2361 0.5000 Ga
0.3575 0.3575 0.0000 Pt
```